[1]
For Ac2CePt9, the GGA-PBE geometry in Alexandria gives the theoretical PXRD pattern in this record (Cu Kα (weighted mean of Kα1 and Kα2)).
No peak broadening, texture or thermal motion is included.

Atomic structure:
```
Ac2CePt9
1.0
2.759 1.593 9.134
-2.759 1.593 9.134
0.000 -3.186 9.134
Ac Ce Pt
2 1 9
direct
0.138 0.138 0.138
0.862 0.862 0.862
0.000 0.000 0.000
0.081 0.583 0.583
0.333 0.333 0.333
0.417 0.417 0.919
0.417 0.919 0.417
0.500 0.500 0.500
0.583 0.081 0.583
0.583 0.583 0.081
0.667 0.667 0.667
0.919 0.417 0.417
```

Peak list (6 most intense, 10 to 80 degrees two-theta, by angle)
- d 2.759, 2θ = 32.45°, I = 27
- d 2.380, 2θ = 37.80°, I = 36
- d 2.362, 2θ = 38.10°, I = 100
- d 2.190, 2θ = 41.21°, I = 45
- d 1.504, 2θ = 61.66°, I = 25
- d 1.380, 2θ = 67.94°, I = 29

[2]
For HoRu2, the GGA-PBE geometry in Alexandria gives the theoretical PXRD pattern in this record (Cu Kα (weighted mean of Kα1 and Kα2)).
No peak broadening, texture or thermal motion is included.

Atomic structure:
```
HoRu2
1.0
5.244 0.000 0.000
-2.622 4.542 0.000
0.000 0.000 8.957
Ho Ru
4 8
direct
0.333 0.667 0.067
0.333 0.667 0.433
0.667 0.333 0.567
0.667 0.333 0.933
0.000 0.000 0.000
0.000 0.000 0.500
0.171 0.341 0.750
0.171 0.829 0.750
0.341 0.171 0.250
0.659 0.829 0.750
0.829 0.171 0.250
0.829 0.659 0.250
```

Peak list (6 most intense, 10 to 80 degrees two-theta, by angle)
- d 2.622, 2θ = 34.19°, I = 45
- d 2.495, 2θ = 36.00°, I = 98
- d 2.263, 2θ = 39.84°, I = 100
- d 2.201, 2θ = 41.00°, I = 75
- d 1.488, 2θ = 62.40°, I = 36
- d 1.406, 2θ = 66.48°, I = 32

[3]
For PrTmTh2, the GGA-PBE geometry in Alexandria gives the theoretical PXRD pattern in this record (Cu Kα (weighted mean of Kα1 and Kα2)).
No peak broadening, texture or thermal motion is included.

Atomic structure:
```
PrTmTh2
1.0
3.588 0.000 0.000
0.000 3.588 0.000
-0.007 0.000 20.375
Pr Tm Th
2 2 4
direct
0.249 0.250 0.072
0.751 0.750 0.928
0.249 0.250 0.316
0.751 0.750 0.684
0.250 0.250 0.561
0.251 0.250 0.804
0.749 0.750 0.196
0.750 0.750 0.439
```

Peak list (6 most intense, 10 to 80 degrees two-theta, by angle)
- d 2.933, 2θ = 30.47°, I = 100
- d 2.547, 2θ = 35.24°, I = 16
- d 2.537, 2θ = 35.38°, I = 35
- d 1.797, 2θ = 50.80°, I = 23
- d 1.794, 2θ = 50.90°, I = 13
- d 1.530, 2θ = 60.49°, I = 29

[4]
For AcPu3Te4, the GGA-PBE geometry in Alexandria gives the theoretical PXRD pattern in this record (Cu Kα (weighted mean of Kα1 and Kα2)).
No peak broadening, texture or thermal motion is included.

Atomic structure:
```
AcPu3Te4
1.0
6.422 0.000 0.000
0.000 6.422 0.000
0.000 0.000 6.422
Ac Pu Te
1 3 4
direct
0.000 0.000 0.000
0.000 0.500 0.500
0.500 0.000 0.500
0.500 0.500 0.000
0.000 0.000 0.500
0.000 0.500 0.000
0.500 0.000 0.000
0.500 0.500 0.500
```

Peak list (6 most intense, 10 to 80 degrees two-theta, by angle)
- d 3.708, 2θ = 24.00°, I = 16
- d 3.211, 2θ = 27.78°, I = 100
- d 2.271, 2θ = 39.70°, I = 78
- d 1.854, 2θ = 49.14°, I = 28
- d 1.436, 2θ = 64.94°, I = 37
- d 1.311, 2θ = 72.04°, I = 28

[5]
For Cs3SI6, the GGA-PBE geometry in Alexandria gives the theoretical PXRD pattern in this record (Cu Kα (weighted mean of Kα1 and Kα2)).
No peak broadening, texture or thermal motion is included.

Atomic structure:
```
Cs3SI6
1.0
-4.612 4.612 6.291
4.612 -4.612 6.291
4.612 4.612 -6.291
Cs S I
3 1 6
direct
0.000 0.000 0.000
0.250 0.750 0.500
0.750 0.250 0.500
0.500 0.500 0.000
0.274 0.274 0.549
0.274 0.726 0.000
0.286 0.286 0.000
0.714 0.714 0.000
0.726 0.274 0.000
0.726 0.726 0.451
```

Peak list (6 most intense, 10 to 80 degrees two-theta, by angle)
- d 3.719, 2θ = 23.93°, I = 100
- d 3.261, 2θ = 27.35°, I = 71
- d 3.145, 2θ = 28.38°, I = 30
- d 2.306, 2θ = 39.06°, I = 25
- d 2.264, 2θ = 39.82°, I = 43
- d 1.960, 2θ = 46.33°, I = 27

[6]
For ZrCo2NiB, the GGA-PBE geometry in Alexandria gives the theoretical PXRD pattern in this record (Cu Kα (weighted mean of Kα1 and Kα2)).
No peak broadening, texture or thermal motion is included.

Atomic structure:
```
ZrCo2NiB
1.0
3.896 0.000 0.000
0.000 3.896 0.000
0.000 0.000 3.914
Zr Co Ni B
1 2 1 1
direct
0.000 0.000 0.000
0.000 0.500 0.500
0.500 0.000 0.500
0.500 0.500 0.000
0.500 0.500 0.500
```

Peak list (6 most intense, 10 to 80 degrees two-theta, by angle)
- d 2.759, 2θ = 32.46°, I = 5
- d 2.253, 2θ = 40.02°, I = 100
- d 1.957, 2θ = 46.39°, I = 18
- d 1.948, 2θ = 46.63°, I = 35
- d 1.381, 2θ = 67.89°, I = 21
- d 1.377, 2θ = 68.07°, I = 10

[7]
For Ac8Ir5Au, the GGA-PBE geometry in Alexandria gives the theoretical PXRD pattern in this record (Cu Kα (weighted mean of Kα1 and Kα2)).
No peak broadening, texture or thermal motion is included.

Atomic structure:
```
Ac8Ir5Au
1.0
-4.724 4.724 4.647
4.724 -4.724 4.647
4.724 4.724 -4.647
Ac Ir Au
8 5 1
direct
0.256 0.501 0.118
0.375 0.129 0.362
0.383 0.138 0.882
0.499 0.617 0.755
0.767 0.013 0.638
0.862 0.744 0.245
0.871 0.233 0.246
0.987 0.625 0.754
0.000 0.000 0.000
0.130 0.241 0.619
0.489 0.870 0.111
0.622 0.511 0.381
0.759 0.378 0.889
0.250 0.750 0.500
```

Peak list (6 most intense, 10 to 80 degrees two-theta, by angle)
- d 2.985, 2θ = 29.93°, I = 100
- d 2.944, 2θ = 30.36°, I = 47
- d 2.522, 2θ = 35.60°, I = 27
- d 2.513, 2θ = 35.73°, I = 28
- d 2.498, 2θ = 35.94°, I = 21
- d 1.852, 2θ = 49.20°, I = 19

[8]
For Ti6PbN, the GGA-PBE geometry in Alexandria gives the theoretical PXRD pattern in this record (Cu Kα (weighted mean of Kα1 and Kα2)).
No peak broadening, texture or thermal motion is included.

Atomic structure:
```
Ti6PbN
1.0
4.060 2.344 2.321
-4.060 2.344 2.321
0.000 -4.688 2.321
Ti Pb N
6 1 1
direct
0.225 0.225 0.608
0.225 0.608 0.225
0.392 0.775 0.775
0.608 0.225 0.225
0.775 0.392 0.775
0.775 0.775 0.392
0.000 0.000 0.000
0.500 0.500 0.500
```

Peak list (6 most intense, 10 to 80 degrees two-theta, by angle)
- d 4.948, 2θ = 17.93°, I = 44
- d 4.060, 2θ = 21.89°, I = 41
- d 3.120, 2θ = 28.61°, I = 37
- d 2.483, 2θ = 36.17°, I = 100
- d 2.113, 2θ = 42.81°, I = 69
- d 2.030, 2θ = 44.64°, I = 24

[9]
For UAlTl2Te5, the GGA-PBE geometry in Alexandria gives the theoretical PXRD pattern in this record (Cu Kα (weighted mean of Kα1 and Kα2)).
No peak broadening, texture or thermal motion is included.

Atomic structure:
```
UAlTl2Te5
1.0
2.168 -9.988 0.000
2.168 9.988 0.000
0.000 0.000 14.806
U Al Tl Te
2 2 4 10
direct
0.200 0.800 0.500
0.800 0.200 0.000
0.434 0.566 0.891
0.566 0.434 0.391
0.114 0.886 0.807
0.122 0.878 0.150
0.878 0.122 0.650
0.886 0.114 0.307
0.044 0.956 0.499
0.299 0.701 0.139
0.302 0.698 0.853
0.344 0.656 0.483
0.498 0.502 0.741
0.502 0.498 0.241
0.656 0.344 0.983
0.698 0.302 0.353
0.701 0.299 0.639
0.956 0.044 0.999
```

Peak list (6 most intense, 10 to 80 degrees two-theta, by angle)
- d 4.425, 2θ = 20.07°, I = 18
- d 3.248, 2θ = 27.46°, I = 40
- d 3.215, 2θ = 27.75°, I = 100
- d 2.731, 2θ = 32.80°, I = 34
- d 2.168, 2θ = 41.66°, I = 20
- d 2.004, 2θ = 45.25°, I = 21

[10]
For CsTaAs3, the GGA-PBE geometry in Alexandria gives the theoretical PXRD pattern in this record (Cu Kα (weighted mean of Kα1 and Kα2)).
No peak broadening, texture or thermal motion is included.

Atomic structure:
```
CsTaAs3
1.0
5.146 0.000 0.000
0.000 5.146 0.000
0.000 0.000 5.146
Cs Ta As
1 1 3
direct
0.000 0.000 0.000
0.500 0.500 0.500
0.000 0.500 0.500
0.500 0.000 0.500
0.500 0.500 0.000
```

Peak list (6 most intense, 10 to 80 degrees two-theta, by angle)
- d 5.146, 2θ = 17.23°, I = 31
- d 3.639, 2θ = 24.46°, I = 90
- d 2.573, 2θ = 34.87°, I = 100
- d 2.101, 2θ = 43.06°, I = 40
- d 1.819, 2θ = 50.14°, I = 71
- d 1.485, 2θ = 62.53°, I = 24

[11]
For Ce5Bi2SeO, the GGA-PBE geometry in Alexandria gives the theoretical PXRD pattern in this record (Cu Kα (weighted mean of Kα1 and Kα2)).
No peak broadening, texture or thermal motion is included.

Atomic structure:
```
Ce5Bi2SeO
1.0
4.660 0.000 0.000
0.000 4.660 0.000
0.000 0.000 11.495
Ce Bi Se O
5 2 1 1
direct
0.000 0.000 0.000
0.000 0.500 0.500
0.500 0.000 0.500
0.500 0.500 0.254
0.500 0.500 0.746
0.000 0.000 0.286
0.000 0.000 0.714
0.500 0.500 0.000
0.500 0.500 0.500
```

Peak list (6 most intense, 10 to 80 degrees two-theta, by angle)
- d 3.295, 2θ = 27.06°, I = 64
- d 2.874, 2θ = 31.12°, I = 58
- d 2.859, 2θ = 31.29°, I = 100
- d 2.498, 2θ = 35.95°, I = 84
- d 2.330, 2θ = 38.64°, I = 86
- d 1.810, 2θ = 50.42°, I = 60

[12]
For Y4Zn3Ga16, the GGA-PBE geometry in Alexandria gives the theoretical PXRD pattern in this record (Cu Kα (weighted mean of Kα1 and Kα2)).
No peak broadening, texture or thermal motion is included.

Atomic structure:
```
Y4Zn3Ga16
1.0
6.261 0.000 0.000
0.000 6.261 0.000
0.000 0.000 11.352
Y Zn Ga
4 3 16
direct
0.000 0.500 0.188
0.000 0.500 0.812
0.500 0.000 0.188
0.500 0.000 0.812
0.000 0.000 0.000
0.000 0.500 0.500
0.500 0.000 0.500
0.000 0.000 0.239
0.000 0.000 0.761
0.259 0.259 0.377
0.259 0.259 0.623
0.259 0.741 0.377
0.259 0.741 0.623
0.291 0.291 0.000
0.291 0.709 0.000
0.500 0.500 0.196
0.500 0.500 0.804
0.709 0.291 0.000
0.709 0.709 0.000
0.741 0.259 0.377
0.741 0.259 0.623
0.741 0.741 0.377
0.741 0.741 0.623
```

Peak list (6 most intense, 10 to 80 degrees two-theta, by angle)
- d 2.741, 2θ = 32.67°, I = 32
- d 2.412, 2θ = 37.28°, I = 100
- d 2.213, 2θ = 40.76°, I = 73
- d 2.103, 2θ = 43.02°, I = 23
- d 1.585, 2θ = 58.21°, I = 22
- d 1.313, 2θ = 71.91°, I = 22

[13]
For ZrBeFeBr, the GGA-PBE geometry in Alexandria gives the theoretical PXRD pattern in this record (Cu Kα (weighted mean of Kα1 and Kα2)).
No peak broadening, texture or thermal motion is included.

Atomic structure:
```
ZrBeFeBr
1.0
3.663 0.000 0.000
-1.832 3.173 0.000
0.000 0.000 6.136
Zr Be Fe Br
1 1 1 1
direct
0.000 0.000 0.000
0.333 0.667 0.252
0.667 0.333 0.263
0.667 0.333 0.670
```

Peak list (6 most intense, 10 to 80 degrees two-theta, by angle)
- d 3.173, 2θ = 28.13°, I = 62
- d 2.818, 2θ = 31.75°, I = 96
- d 2.205, 2θ = 40.92°, I = 100
- d 1.832, 2θ = 49.78°, I = 50
- d 1.409, 2θ = 66.34°, I = 23
- d 1.365, 2θ = 68.80°, I = 25